For Pr3Zr2Sn3, a DFT-relaxed cell (GGA-PBE, Alexandria) gives the simulated powder XRD pattern in this record (Cu Kα (weighted mean of Kα1 and Kα2)).
Kinematic intensities with the Lorentz-polarization factor, no thermal factor.

Top 8 peaks for 5 to 70 degrees two-theta, by angle:
2θ (°), I/Imax
28.99, 21
29.89, 24
33.31, 100
34.00, 25
35.14, 46
43.80, 14
54.19, 25
66.44, 14

Structural model:
Lattice parameters (Å, degrees): 9.134 9.134 6.160 90.00 90.00 120.00
Sites, in units of the cell vectors:
Pr 0.000 0.244 0.250
Pr 0.000 0.756 0.750
Pr 0.244 0.000 0.250
Pr 0.244 0.244 0.750
Pr 0.756 0.000 0.750
Pr 0.756 0.756 0.250
Zr 0.333 0.667 0.000
Zr 0.333 0.667 0.500
Zr 0.667 0.333 0.000
Zr 0.667 0.333 0.500
Sn 0.000 0.405 0.750
Sn 0.000 0.595 0.250
Sn 0.405 0.000 0.750
Sn 0.405 0.405 0.250
Sn 0.595 0.000 0.250
Sn 0.595 0.595 0.750

---

For Tb3MgPd, a DFT-relaxed cell (GGA-PBE, Alexandria) gives the simulated powder XRD pattern in this record (Cu Kα (weighted mean of Kα1 and Kα2)).
Kinematic intensities with the Lorentz-polarization factor, no thermal factor.

Top 8 peaks for 5 to 70 degrees two-theta, by angle:
2θ (°), I/Imax
13.27, 26
26.72, 17
31.45, 100
32.28, 16
34.17, 52
35.94, 61
51.73, 18
66.91, 18

Structural model:
Lattice parameters (Å, degrees): 4.993 6.672 8.096 90.00 90.00 90.00
Sites, in units of the cell vectors:
Tb 0.000 0.200 0.000
Tb 0.000 0.201 0.407
Tb 0.000 0.722 0.204
Tb 0.500 0.278 0.704
Tb 0.500 0.799 0.907
Tb 0.500 0.800 0.500
Mg 0.000 0.586 0.703
Mg 0.500 0.414 0.203
Pd 0.000 0.990 0.703
Pd 0.500 0.010 0.203

---

For LiRe2Br8, a DFT-relaxed cell (GGA-PBE, Alexandria) gives the simulated powder XRD pattern in this record (Cu Kα (weighted mean of Kα1 and Kα2)).
Kinematic intensities with the Lorentz-polarization factor, no thermal factor.

Top 8 peaks for 5 to 70 degrees two-theta, by angle:
2θ (°), I/Imax
13.94, 43
16.83, 90
17.64, 100
22.55, 55
22.79, 38
25.58, 44
26.27, 44
44.76, 42

Structural model:
Lattice parameters (Å, degrees): 8.116 8.116 6.805 93.43 93.43 76.60
Sites, in units of the cell vectors:
Li 0.000 0.000 0.000
Re 0.204 0.204 0.668
Re 0.796 0.796 0.332
Br 0.072 0.716 0.194
Br 0.193 0.193 0.318
Br 0.284 0.928 0.806
Br 0.384 0.384 0.788
Br 0.616 0.616 0.212
Br 0.716 0.072 0.194
Br 0.807 0.807 0.682
Br 0.928 0.284 0.806

---

For Li2CuNi, a DFT-relaxed cell (GGA-PBE, Alexandria) gives the simulated powder XRD pattern in this record (Cu Kα (weighted mean of Kα1 and Kα2)).
Kinematic intensities with the Lorentz-polarization factor, no thermal factor.

Top 8 peaks for 5 to 70 degrees two-theta, by angle:
2θ (°), I/Imax
20.99, 100
39.37, 19
39.87, 19
42.72, 41
45.03, 35
45.48, 34
48.06, 21
62.01, 13

Structural model:
Lattice parameters (Å, degrees): 2.525 4.232 4.541 90.00 95.27 90.00
Sites, in units of the cell vectors:
Li 0.239 0.000 0.256
Li 0.761 0.000 0.744
Cu 0.500 0.500 0.000
Ni 0.000 0.500 0.500

---

For Cs2SO4, a DFT-relaxed cell (GGA-PBE, Alexandria) gives the simulated powder XRD pattern in this record (Cu Kα (weighted mean of Kα1 and Kα2)).
Kinematic intensities with the Lorentz-polarization factor, no thermal factor.

Top 8 peaks for 5 to 70 degrees two-theta, by angle:
2θ (°), I/Imax
23.73, 60
26.50, 37
26.60, 100
27.83, 87
28.13, 64
32.84, 30
39.03, 30
48.16, 31

Structural model:
Lattice parameters (Å, degrees): 8.439 6.344 11.142 90.00 90.00 90.00
Sites, in units of the cell vectors:
Cs 0.008 0.250 0.198
Cs 0.172 0.750 0.410
Cs 0.328 0.250 0.910
Cs 0.492 0.750 0.698
Cs 0.508 0.250 0.302
Cs 0.672 0.750 0.090
Cs 0.828 0.250 0.590
Cs 0.992 0.750 0.802
S 0.239 0.750 0.083
S 0.261 0.250 0.583
S 0.739 0.750 0.417
S 0.761 0.250 0.917
O 0.062 0.750 0.086
O 0.200 0.057 0.645
O 0.200 0.443 0.645
O 0.203 0.250 0.455
O 0.297 0.750 0.955
O 0.300 0.557 0.145
O 0.300 0.943 0.145
O 0.438 0.250 0.586
O 0.562 0.750 0.414
O 0.700 0.057 0.855
O 0.700 0.443 0.855
O 0.703 0.250 0.045
O 0.797 0.750 0.545
O 0.800 0.557 0.355
O 0.800 0.943 0.355
O 0.938 0.250 0.914

---

For Y4Ag5, a DFT-relaxed cell (GGA-PBE, Alexandria) gives the simulated powder XRD pattern in this record (Cu Kα (weighted mean of Kα1 and Kα2)).
Kinematic intensities with the Lorentz-polarization factor, no thermal factor.

Top 8 peaks for 5 to 70 degrees two-theta, by angle:
2θ (°), I/Imax
33.88, 8
34.88, 100
50.16, 15
53.78, 4
58.52, 4
62.56, 14
62.59, 6
69.98, 12

Structural model:
Lattice parameters (Å, degrees): 8.904 8.904 6.309 90.00 90.00 120.00
Sites, in units of the cell vectors:
Y 0.000 0.000 0.000
Y 0.000 0.000 0.500
Y 0.000 0.364 0.250
Y 0.000 0.636 0.750
Y 0.364 0.000 0.250
Y 0.364 0.364 0.750
Y 0.636 0.000 0.750
Y 0.636 0.636 0.250
Ag 0.000 0.305 0.750
Ag 0.000 0.695 0.250
Ag 0.305 0.000 0.750
Ag 0.305 0.305 0.250
Ag 0.333 0.667 0.000
Ag 0.333 0.667 0.500
Ag 0.667 0.333 0.000
Ag 0.667 0.333 0.500
Ag 0.695 0.000 0.250
Ag 0.695 0.695 0.750

---

For SiSb8, a DFT-relaxed cell (GGA-PBE, Alexandria) gives the simulated powder XRD pattern in this record (Cu Kα (weighted mean of Kα1 and Kα2)).
Kinematic intensities with the Lorentz-polarization factor, no thermal factor.

Top 8 peaks for 5 to 70 degrees two-theta, by angle:
2θ (°), I/Imax
30.51, 12
32.41, 43
33.21, 100
45.11, 11
45.71, 23
48.82, 10
58.32, 16
59.83, 15

Structural model:
Lattice parameters (Å, degrees): 8.495 8.495 8.495 92.76 92.76 154.63
Sites, in units of the cell vectors:
Si 0.000 0.000 0.000
Sb 0.000 0.348 0.348
Sb 0.000 0.652 0.652
Sb 0.348 0.000 0.348
Sb 0.367 0.367 0.735
Sb 0.367 0.633 0.000
Sb 0.633 0.367 0.000
Sb 0.633 0.633 0.265
Sb 0.652 0.000 0.652

---

For ZnBr2N2, a DFT-relaxed cell (GGA-PBE, Alexandria) gives the simulated powder XRD pattern in this record (Cu Kα (weighted mean of Kα1 and Kα2)).
Kinematic intensities with the Lorentz-polarization factor, no thermal factor.

Top 8 peaks for 5 to 70 degrees two-theta, by angle:
2θ (°), I/Imax
7.44, 100
14.90, 9
27.87, 7
30.57, 10
32.04, 8
34.80, 15
47.89, 7
48.02, 10

Structural model:
Lattice parameters (Å, degrees): 6.599 3.799 11.921 90.00 94.19 90.00
Sites, in units of the cell vectors:
Zn 0.000 0.000 0.000
Zn 0.500 0.500 0.000
Br 0.150 0.500 0.875
Br 0.350 0.000 0.125
Br 0.650 0.000 0.875
Br 0.850 0.500 0.125
N 0.058 0.500 0.536
N 0.442 0.000 0.464
N 0.558 0.000 0.536
N 0.942 0.500 0.464